Structure and theoretical PXRD pattern of ZnWF4 (a structure optimized by DFT (GGA+U); a wavelength of 1.5418 Å).

Most intense lines, 2θ = 10–90°, low angle first:
2θ (°)  I/Imax
12.52  59
17.47  33
24.34  35
25.00  53
25.67  28
27.17  100
27.74  97
32.94  30
44.06  24
49.87  29

Atomic structure:
```
12
Lattice="7.4168 -2.7189 0.0000 7.4168 2.7189 0.0000 -1.4904 0.0000 4.7149" Properties=species:S:1:pos:R:3 pbc="T T T"
Zn 0.0000 0.0000 0.0000
Zn 6.6716 -0.5253 2.3575
W 3.2437 -0.1593 3.8028
W 10.0995 -0.1593 0.9121
F 4.4937 1.6274 0.2447
F 2.4596 0.7654 2.0479
F 5.1891 0.5055 3.2346
F 8.8494 1.6274 4.4702
F 8.1540 0.5055 1.4803
F 5.4670 -1.0067 0.8829
F 10.8835 0.7654 2.6670
F 7.8762 -1.0067 3.8321
```